1.
The following is a calculated PXRD pattern of FeO. It was derived from the GGA+U geometry in the Materials Project, using a wavelength of 1.5418 Å.
No peak broadening, texture or thermal motion is included.

Structural model:
a b c (Å): 3.0489 3.0839 5.2747
angles (deg): 87.04 88.50 60.44
Space group P-1 (No. 2)
One atom of each set of equivalent atoms:
1 Fe 0.0000 0.0000 0.0000 (multiplicity 1)
2 Fe 0.0000 0.0000 0.5000 (multiplicity 1)
3 O 0.3362 0.3291 0.2443 (multiplicity 2)

Most intense lines, 2θ from 15° to 90°, in order of falling intensity:
- 2θ = 33.8°, rel. 100, hkl 1 1 0
- 2θ = 48.7°, rel. 59, hkl 1 0 -2
- 2θ = 33.4°, rel. 53, hkl 0 1 0
- 2θ = 34.0°, rel. 35, hkl 0 0 2
- 2θ = 47.6°, rel. 32, hkl 1 1 2
- 2θ = 47.3°, rel. 31, hkl 0 1 2
- 2θ = 49.6°, rel. 28, hkl 0 1 -2
- 2θ = 49.9°, rel. 26, hkl 1 1 -2
- 2θ = 60.0°, rel. 18, hkl 1 -1 0
- 2θ = 60.1°, rel. 18, hkl 1 2 0
- 2θ = 60.8°, rel. 17, hkl 2 1 0
- 2θ = 71.7°, rel. 14, hkl 0 0 4

2.
The following is a calculated PXRD pattern of Fe3O4. It was derived from the GGA+U geometry in the Materials Project, using a wavelength of 1.5418 Å.
No peak broadening, texture or thermal motion is included.

Structural model:
a b c (Å): 6.0922 6.0915 16.9786
angles (deg): 90.00 90.16 90.00
Space group Pm (No. 6)
One atom of each set of equivalent atoms:
1 Fe 0.0000 0.0000 0.0000 (multiplicity 1)
2 Fe 0.0006 0.5000 0.7455 (multiplicity 1)
3 Fe 0.0029 0.0000 0.4946 (multiplicity 1)
4 Fe 0.0076 0.5000 0.2441 (multiplicity 1)
5 Fe 0.2495 0.5000 0.5585 (multiplicity 1)
6 Fe 0.2540 0.0000 0.6822 (multiplicity 1)
7 Fe 0.2560 0.2484 0.8725 (multiplicity 2)
8 Fe 0.2573 0.0000 0.1850 (multiplicity 1)
9 Fe 0.2570 0.5000 0.0618 (multiplicity 1)
10 Fe 0.2606 0.2484 0.3713 (multiplicity 2)
11 Fe 0.5041 0.0000 0.4987 (multiplicity 1)
12 Fe 0.5074 0.5000 0.2464 (multiplicity 1)
13 Fe 0.5082 0.5000 0.7445 (multiplicity 1)
14 Fe 0.5114 0.0000 0.9992 (multiplicity 1)
15 Fe 0.7508 0.0000 0.3048 (multiplicity 1)
16 Fe 0.7513 0.2440 0.1231 (multiplicity 2)
17 Fe 0.7532 0.2521 0.6186 (multiplicity 2)
18 Fe 0.7539 0.0000 0.8066 (multiplicity 1)
19 Fe 0.7559 0.5000 0.9317 (multiplicity 1)
20 Fe 0.7622 0.5000 0.4310 (multiplicity 1)
21 O 0.0016 0.5000 0.6271 (multiplicity 1)
22 O 0.0046 0.0000 0.6140 (multiplicity 1)
23 O 0.0282 0.5000 0.3659 (multiplicity 1)
24 O 0.0303 0.0000 0.8795 (multiplicity 1)
25 O 0.0340 0.0000 0.3745 (multiplicity 1)
26 O 0.0352 0.5000 0.8666 (multiplicity 1)
27 O 0.2467 0.2408 0.4911 (multiplicity 2)
28 O 0.2529 0.2632 0.7508 (multiplicity 2)
29 O 0.2557 0.2348 0.9958 (multiplicity 2)
30 O 0.2660 0.2839 0.2519 (multiplicity 2)
31 O 0.4752 0.5000 0.8662 (multiplicity 1)
32 O 0.4782 0.0000 0.3747 (multiplicity 1)
33 O 0.4791 0.0000 0.8790 (multiplicity 1)
34 O 0.4931 0.5000 0.3658 (multiplicity 1)
35 O 0.5028 0.5000 0.6255 (multiplicity 1)
36 O 0.5080 0.0000 0.6196 (multiplicity 1)
37 O 0.5158 0.5000 0.1278 (multiplicity 1)
38 O 0.5265 0.0000 0.1176 (multiplicity 1)
39 O 0.7468 0.2847 0.2440 (multiplicity 2)
40 O 0.7553 0.2243 0.0004 (multiplicity 2)
41 O 0.7548 0.2792 0.7456 (multiplicity 2)
42 O 0.7719 0.2437 0.4927 (multiplicity 2)
43 O 0.9835 0.0000 0.1192 (multiplicity 1)
44 O 0.9963 0.5000 0.1248 (multiplicity 1)

Most intense lines, 2θ from 15° to 90°, in order of falling intensity:
- 2θ = 34.6°, rel. 100, hkl 2 1 2
- 2θ = 35.0°, rel. 50, hkl 1 0 6
- 2θ = 55.5°, rel. 30, hkl 2 3 2
- 2θ = 29.5°, rel. 29, hkl 1 1 4
- 2θ = 60.8°, rel. 23, hkl 4 0 0
- 2θ = 61.3°, rel. 23, hkl 2 2 -8
- 2θ = 61.4°, rel. 22, hkl 2 2 8
- 2θ = 41.9°, rel. 21, hkl 2 2 0
- 2θ = 17.9°, rel. 15, hkl 0 1 2
- 2θ = 29.3°, rel. 15, hkl 0 2 0
- 2θ = 56.2°, rel. 14, hkl 0 1 10
- 2θ = 36.3°, rel. 13, hkl 2 0 -4

3.
The following is a calculated PXRD pattern of Fe3O4. It was derived from the GGA+U geometry in the Materials Project, using a wavelength of 1.5418 Å.
No peak broadening, texture or thermal motion is included.

Structural model:
a b c (Å): 6.0778 6.0900 17.2090
angles (deg): 90.14 90.01 90.07
Space group P1 (No. 1)
One atom of each set of equivalent atoms:
1 Fe 0.0000 0.0000 0.0000 (multiplicity 1)
2 Fe 0.9999 0.4949 0.0013 (multiplicity 1)
3 Fe 0.0003 0.9987 0.4989 (multiplicity 1)
4 Fe 0.0008 0.4973 0.4984 (multiplicity 1)
5 Fe 0.0017 0.2477 0.8142 (multiplicity 1)
6 Fe 0.0067 0.7541 0.6854 (multiplicity 1)
7 Fe 0.2479 0.2501 0.1244 (multiplicity 1)
8 Fe 0.2486 0.2489 0.6237 (multiplicity 1)
9 Fe 0.2493 0.7477 0.3721 (multiplicity 1)
10 Fe 0.2492 0.7490 0.8758 (multiplicity 1)
11 Fe 0.4945 0.0031 0.2456 (multiplicity 1)
12 Fe 0.4947 0.4982 0.2488 (multiplicity 1)
13 Fe 0.4960 0.7483 0.5614 (multiplicity 1)
14 Fe 0.4995 0.7419 0.0621 (multiplicity 1)
15 Fe 0.5000 0.2535 0.9363 (multiplicity 1)
16 Fe 0.5039 0.4988 0.7488 (multiplicity 1)
17 Fe 0.5050 0.0000 0.7497 (multiplicity 1)
18 Fe 0.5055 0.2475 0.4337 (multiplicity 1)
19 Fe 0.7474 0.2508 0.1238 (multiplicity 1)
20 Fe 0.7466 0.7480 0.3720 (multiplicity 1)
21 Fe 0.7494 0.2495 0.6232 (multiplicity 1)
22 Fe 0.7549 0.7494 0.8756 (multiplicity 1)
23 Fe 0.9925 0.2438 0.3130 (multiplicity 1)
24 Fe 0.9981 0.7568 0.1856 (multiplicity 1)
25 O 0.0008 0.5270 0.8791 (multiplicity 1)
26 O 0.0027 0.9679 0.8760 (multiplicity 1)
27 O 0.0115 0.4784 0.6143 (multiplicity 1)
28 O 0.0130 0.0148 0.6145 (multiplicity 1)
29 O 0.2315 0.7482 0.4975 (multiplicity 1)
30 O 0.2386 0.2477 0.5004 (multiplicity 1)
31 O 0.2387 0.2598 0.9966 (multiplicity 1)
32 O 0.2437 0.7385 0.9936 (multiplicity 1)
33 O 0.2570 0.2388 0.2531 (multiplicity 1)
34 O 0.2577 0.7591 0.2512 (multiplicity 1)
35 O 0.2770 0.2480 0.7407 (multiplicity 1)
36 O 0.2787 0.7500 0.7577 (multiplicity 1)
37 O 0.4905 0.4935 0.6268 (multiplicity 1)
38 O 0.4935 0.0064 0.6265 (multiplicity 1)
39 O 0.4974 0.4878 0.1260 (multiplicity 1)
40 O 0.4987 0.9955 0.1292 (multiplicity 1)
41 O 0.5007 0.5145 0.8686 (multiplicity 1)
42 O 0.5017 0.9854 0.8704 (multiplicity 1)
43 O 0.5092 0.5130 0.3761 (multiplicity 1)
44 O 0.5100 0.9858 0.3713 (multiplicity 1)
45 O 0.7231 0.2507 0.7460 (multiplicity 1)
46 O 0.7290 0.7487 0.7561 (multiplicity 1)
47 O 0.7334 0.2402 0.2506 (multiplicity 1)
48 O 0.7405 0.7584 0.2555 (multiplicity 1)
49 O 0.7554 0.7382 0.9933 (multiplicity 1)
50 O 0.7614 0.2594 0.9965 (multiplicity 1)
51 O 0.7665 0.7484 0.4969 (multiplicity 1)
52 O 0.7687 0.2464 0.4987 (multiplicity 1)
53 O 0.9876 0.5075 0.3800 (multiplicity 1)
54 O 0.9888 0.9859 0.3815 (multiplicity 1)
55 O 0.9978 0.0119 0.1215 (multiplicity 1)
56 O 0.9977 0.5046 0.1184 (multiplicity 1)

Most intense lines, 2θ from 15° to 90°, in order of falling intensity:
- 2θ = 34.6°, rel. 100, hkl 2 1 -2
- 2θ = 29.4°, rel. 31, hkl -1 1 4
- 2θ = 60.8°, rel. 25, hkl 0 4 0
- 2θ = 61.0°, rel. 25, hkl 2 2 8
- 2θ = 55.5°, rel. 23, hkl -3 2 2
- 2θ = 42.0°, rel. 23, hkl 2 2 0
- 2θ = 55.4°, rel. 14, hkl 2 3 -2
- 2θ = 17.9°, rel. 10, hkl 1 0 -2
- 2θ = 36.2°, rel. 9, hkl 0 2 -4
- 2θ = 34.6°, rel. 9, hkl 2 1 2
- 2θ = 87.0°, rel. 9, hkl -4 1 10
- 2θ = 52.1°, rel. 7, hkl 1 3 4